For Ca4Al6MoO16, a cell relaxed with GGA+U gives the theoretical XRD peak list in this record (Cu Kα).
Neutral-atom scattering factors, no anomalous dispersion.

Principal peaks in the range 5 to 70 degrees two-theta, sorted by position:
Position (°2θ)	I (rel.)
23.0	49
23.2	100
26.7	24
33.0	19
35.8	12
38.6	14
40.5	12
41.0	15
45.1	12
55.0	13

Structure:
```
data_Ca4Al6MoO16
_cell_length_a 9.3375
_cell_length_b 9.3375
_cell_length_c 9.5491
_cell_angle_alpha 90.00
_cell_angle_beta 90.00
_cell_angle_gamma 90.00
_symmetry_space_group_name_H-M 'I -4'
_symmetry_Int_Tables_number 82
_symmetry_space_group_name_Hall 'I -4'
loop_
_atom_site_label
_atom_site_type_symbol
_atom_site_fract_x
_atom_site_fract_y
_atom_site_fract_z
Ca1 Ca 0.2106 0.2575 0.0183
Al1 Al 0.0000 0.0000 0.0000
Al2 Al 0.0000 0.0000 0.5000
Al3 Al 0.0119 0.2480 0.7446
Mo1 Mo 0.0000 0.5000 0.2500
O1 O 0.0166 0.3444 0.1417
O2 O 0.0255 0.8445 0.9010
O3 O 0.0665 0.1509 0.5944
O4 O 0.1485 0.6620 0.7036
```


For Ca2AlNiO5, a cell relaxed with GGA+U gives the theoretical XRD peak list in this record (Cu Kα).
Neutral-atom scattering factors, no anomalous dispersion.

Principal peaks in the range 5 to 70 degrees two-theta, sorted by position:
Position (°2θ)	I (rel.)
12.2	60
31.7	33
34.0	100
34.2	39
44.4	34
47.3	42
49.0	16
50.5	17
57.9	22
61.1	20

Structure:
```
data_Ca2AlNiO5
_cell_length_a 14.4651
_cell_length_b 5.6524
_cell_length_c 5.2429
_cell_angle_alpha 90.00
_cell_angle_beta 90.00
_cell_angle_gamma 90.00
_symmetry_space_group_name_H-M 'I m a 2'
_symmetry_Int_Tables_number 46
_symmetry_space_group_name_Hall 'I 2 -2a'
loop_
_atom_site_label
_atom_site_type_symbol
_atom_site_fract_x
_atom_site_fract_y
_atom_site_fract_z
Ca1 Ca 0.1095 0.0337 0.0000
Al1 Al 0.2500 0.5781 0.0326
Ni1 Ni 0.0000 0.0000 0.4871
O1 O 0.0175 0.7440 0.2430
O2 O 0.1471 0.0722 0.4613
O3 O 0.2500 0.6429 0.3694
```


For Ca2Al4Si8W9O24, a cell relaxed with GGA+U gives the theoretical XRD peak list in this record (Cu Kα).
Neutral-atom scattering factors, no anomalous dispersion.

Principal peaks in the range 5 to 70 degrees two-theta, sorted by position:
Position (°2θ)	I (rel.)
9.0	100
12.5	12
13.8	17
19.3	19
23.5	21
26.7	19
32.6	15
33.8	16
36.5	11
40.2	12

Structure:
```
data_Ca2Al4Si8W9O24
_cell_length_a 15.2565
_cell_length_b 13.7303
_cell_length_c 7.8970
_cell_angle_alpha 90.00
_cell_angle_beta 112.01
_cell_angle_gamma 90.00
_symmetry_space_group_name_H-M 'C 1 2/m 1'
_symmetry_Int_Tables_number 12
_symmetry_space_group_name_Hall '-C 2y'
loop_
_atom_site_label
_atom_site_type_symbol
_atom_site_fract_x
_atom_site_fract_y
_atom_site_fract_z
Ca1 Ca 0.2493 0.0000 0.2143
Al1 Al 0.1284 0.3015 0.7385
Si1 Si 0.0758 0.3876 0.3398
Si2 Si 0.2298 0.3844 0.1532
W1 W 0.0000 0.0000 0.5000
W2 W 0.0000 0.1638 0.0000
W3 W 0.0466 0.0000 0.2044
W4 W 0.1372 0.1480 0.4178
O1 O 0.0119 0.3106 0.7282
O2 O 0.0370 0.5000 0.2960
O3 O 0.1377 0.3775 0.5610
O4 O 0.1422 0.3649 0.2207
O5 O 0.1813 0.1862 0.7250
O6 O 0.2019 0.3648 0.9360
O7 O 0.2398 0.0000 0.8183
```


For CaAl2V4O8, a cell relaxed with GGA+U gives the theoretical XRD peak list in this record (Cu Kα).
Neutral-atom scattering factors, no anomalous dispersion.

Principal peaks in the range 5 to 70 degrees two-theta, sorted by position:
Position (°2θ)	I (rel.)
17.7	18
17.7	8
20.4	5
34.1	12
35.5	9
35.8	26
41.5	100
45.5	6
59.9	27
60.2	27

Structure:
```
data_CaAl2V4O8
_cell_length_a 10.6378
_cell_length_b 6.1508
_cell_length_c 6.1734
_cell_angle_alpha 90.00
_cell_angle_beta 125.10
_cell_angle_gamma 90.00
_symmetry_space_group_name_H-M 'C 1 2/m 1'
_symmetry_Int_Tables_number 12
_symmetry_space_group_name_Hall '-C 2y'
loop_
_atom_site_label
_atom_site_type_symbol
_atom_site_fract_x
_atom_site_fract_y
_atom_site_fract_z
Ca1 Ca 0.0000 0.0000 0.0000
Al1 Al 0.2500 0.2500 0.0000
V1 V 0.0000 0.5000 0.0000
V2 V 0.0000 0.5000 0.5000
V3 V 0.2500 0.2500 0.5000
O1 O 0.0327 0.2655 0.7844
O2 O 0.2441 0.5000 0.7580
O3 O 0.2451 0.5000 0.2198
```


For Ca2AlWO5, a cell relaxed with GGA+U gives the theoretical XRD peak list in this record (Cu Kα).
Neutral-atom scattering factors, no anomalous dispersion.

Principal peaks in the range 5 to 70 degrees two-theta, sorted by position:
Position (°2θ)	I (rel.)
12.3	100
21.7	40
25.1	53
29.4	27
32.3	28
33.2	81
43.8	31
44.3	28
46.1	22
58.2	17

Structure:
```
data_Ca2AlWO5
_cell_length_a 14.3513
_cell_length_b 6.0719
_cell_length_c 5.5391
_cell_angle_alpha 90.00
_cell_angle_beta 90.00
_cell_angle_gamma 90.00
_symmetry_space_group_name_H-M 'I m a 2'
_symmetry_Int_Tables_number 46
_symmetry_space_group_name_Hall 'I 2 -2a'
loop_
_atom_site_label
_atom_site_type_symbol
_atom_site_fract_x
_atom_site_fract_y
_atom_site_fract_z
Ca1 Ca 0.1112 0.0459 0.0000
Al1 Al 0.2500 0.5863 0.9681
W1 W 0.0000 0.0000 0.5135
O1 O 0.0147 0.7486 0.7614
O2 O 0.1508 0.0733 0.5354
O3 O 0.2500 0.6555 0.6414
```